Record 1
Structure and simulated PXRD pattern of Dy3Ge13Rh4 (a structure optimized by DFT (GGA-PBE); Cu Kα, 1.54184 Å).

Most intense lines, 2θ = 15–90°, in order of rising 2θ:
two_theta, I_rel
22.0, 13.3
34.4, 23.3
35.9, 100.0
37.3, 40.6
39.9, 31.1
49.5, 20.2
63.5, 13.9
69.0, 21.8

Cell lengths 9.0279, 9.0279, 9.0279 Å; angles 90.00, 90.00, 90.00 degrees
Space group Pm-3n (No. 223)
One atom of each set of equivalent atoms:
Dy 0.0000 0.2500 0.5000 (multiplicity 6)
Ge 0.0000 0.0000 0.0000 (multiplicity 2)
Ge 0.0000 0.3101 0.1481 (multiplicity 24)
Rh 0.2500 0.2500 0.2500 (multiplicity 8)


Record 2
Structure and simulated PXRD pattern of DyGe2Rh2 (a structure optimized by DFT (GGA-PBE); Cu Kα, 1.54184 Å).

Most intense lines, 2θ = 15–90°, in order of rising 2θ:
two_theta, I_rel
33.8, 52.5
35.2, 100.0
43.7, 51.8
49.1, 20.9
56.3, 24.1
62.4, 16.1
63.5, 16.8
74.7, 21.8

Cell lengths 4.1449, 4.1449, 10.3745 Å; angles 90.00, 90.00, 90.00 degrees
Space group I4/mmm (No. 139)
One atom of each set of equivalent atoms:
Dy 0.0000 0.0000 0.0000 (multiplicity 2)
Ge 0.0000 0.0000 0.3786 (multiplicity 4)
Rh 0.0000 0.5000 0.2500 (multiplicity 4)